No. 1
Diffraction record for TaRe2W6. The powder diffractogram is theoretical, not measured: it uses a structure optimized by DFT (PBE) and Cu Ka.
Peak positions follow from Bragg's law for the DFT cell and can differ from measured ones.

Structural model:
a b c (Å): 4.492 5.272 6.925
angles (deg): 101.68 90.03 115.06
Space group P-1 (No. 2)
Inequivalent atoms, fractional coordinates:
Ta  0.000  0.000  0.000 (multiplicity 1)
Re  0.112  0.224  0.667 (multiplicity 2)
W  0.223  0.446  0.336 (multiplicity 2)
W  0.332  0.664  0.999 (multiplicity 2)
W  0.443  0.888  0.664 (multiplicity 2)

Most intense lines, 2θ = 5–70°, sorted by position:
| 2theta | d_spacing | I (rel.) | (hkl) |
| --- | --- | --- | --- |
| 39.99 | 2.255 | 67 | 1 1 1 |
| 40.12 | 2.247 | 100 | 0 0 3 |
| 40.22 | 2.242 | 33 | 1 -2 2 |
| 58.00 | 1.590 | 34 | 2 -1 3 |

***

No. 2
Diffraction record for PuTl3Ag2Se6. The powder diffractogram is theoretical, not measured: it uses a structure optimized by DFT (PBE) and Cu Ka.
Peak positions follow from Bragg's law for the DFT cell and can differ from measured ones.

Structural model:
a b c (Å): 7.174 12.254 7.508
angles (deg): 90.00 108.89 90.00
Space group C2/m (No. 12)
Inequivalent atoms, fractional coordinates:
Pu  0.000  0.000  0.000 (multiplicity 2)
Tl  0.000  0.158  0.500 (multiplicity 4)
Tl  0.000  0.500  0.500 (multiplicity 2)
Ag  0.000  0.330  0.000 (multiplicity 4)
Se  0.234  0.500  0.214 (multiplicity 4)
Se  0.238  0.167  0.225 (multiplicity 8)

Most intense lines, 2θ = 5–70°, sorted by position:
| 2theta | d_spacing | I (rel.) | (hkl) |
| --- | --- | --- | --- |
| 25.08 | 3.551 | 13 | 0 0 2 |
| 26.26 | 3.394 | 10 | 2 0 0 |
| 26.44 | 3.370 | 20 | 1 3 -1 |
| 29.95 | 2.983 | 52 | 2 0 -2 |
| 30.30 | 2.950 | 100 | 1 3 1 |
| 42.37 | 2.133 | 57 | 1 3 -3 |
| 43.87 | 2.064 | 37 | 3 3 -1 |
| 44.36 | 2.042 | 18 | 0 6 0 |
| 51.46 | 1.776 | 10 | 0 0 4 |
| 54.04 | 1.697 | 10 | 4 0 0 |
| 54.45 | 1.685 | 19 | 2 6 -2 |
| 63.02 | 1.475 | 11 | 2 6 2 |